Simulated X-ray diffraction stick pattern of KGaHg2F4 for λ = 1.5418 Å (Cu Kα), from a crystal structure in Alexandria, relaxed with GGA-PBE.
Kinematic intensities with the Lorentz-polarization factor, no thermal factor.

Atomic structure:
```
KGaHg2F4
1.0
6.9796 0.0000 0.0000
-3.3916 6.1099 0.0000
-3.4104 -2.0632 5.7601
K Ga Hg F
1 1 2 4
direct
0.0000 0.0000 0.0000
0.4986 0.2510 0.7475
0.5010 0.7494 0.2522
0.9988 0.5045 0.4956
0.2551 0.1552 0.8139
0.3357 0.1861 0.4392
0.6608 0.1031 0.8450
0.7425 0.5591 0.8921
```

Top 12 peaks for 10° ≤ 2θ ≤ 90°, by intensity:
25.49°, intensity 100
25.14°, intensity 68
25.30°, intensity 34
15.42°, intensity 30
44.58°, intensity 29
29.68°, intensity 28
44.29°, intensity 15
44.45°, intensity 15
44.89°, intensity 14
45.17°, intensity 14
52.42°, intensity 11
35.78°, intensity 11

=====

Simulated X-ray diffraction stick pattern of GaSnHg2F6 for λ = 1.5418 Å (Cu Kα), from a crystal structure in Alexandria, relaxed with GGA-PBE.
Kinematic intensities with the Lorentz-polarization factor, no thermal factor.

Atomic structure:
```
GaSnHg2F6
1.0
-3.1062 3.1164 4.4003
3.1062 -3.1164 4.4003
3.1062 3.1164 -4.4003
Ga Sn Hg F
1 1 2 6
direct
0.0000 0.0000 0.0000
0.5000 0.5000 0.0000
0.2508 0.7508 0.5000
0.7492 0.2492 0.5000
0.2209 0.2209 0.0000
0.2206 0.2214 0.4419
0.2206 0.7786 0.9992
0.7794 0.2214 0.0008
0.7791 0.7791 0.0000
0.7794 0.7786 0.5581
```

Top 12 peaks for 10° ≤ 2θ ≤ 90°, by intensity:
28.69°, intensity 100
41.02°, intensity 30
50.80°, intensity 28
67.27°, intensity 17
50.89°, intensity 14
59.41°, intensity 13
35.33°, intensity 12
81.84°, intensity 12
82.01°, intensity 12
20.18°, intensity 9
46.12°, intensity 5
67.37°, intensity 3

=====

Simulated X-ray diffraction stick pattern of TlGaHgF6 for λ = 1.5418 Å (Cu Kα), from a crystal structure in Alexandria, relaxed with GGA-PBE.
Kinematic intensities with the Lorentz-polarization factor, no thermal factor.

Atomic structure:
```
TlGaHgF6
1.0
5.8308 0.0000 0.0000
-2.9154 5.0497 0.0000
0.0000 0.0000 5.6962
Tl Ga Hg F
1 1 1 6
direct
0.0000 0.0000 0.0000
0.6667 0.3333 0.5000
0.3333 0.6667 0.5000
0.4025 0.0525 0.6932
0.4025 0.3501 0.3068
0.6499 0.0525 0.3068
0.6499 0.5975 0.6932
0.9475 0.3501 0.6932
0.9475 0.5975 0.3068
```

Top 12 peaks for 10° ≤ 2θ ≤ 90°, by intensity:
23.54°, intensity 100
44.47°, intensity 39
30.67°, intensity 36
50.43°, intensity 27
39.02°, intensity 26
51.41°, intensity 12
54.52°, intensity 12
69.06°, intensity 11
69.88°, intensity 10
64.28°, intensity 9
31.41°, intensity 9
72.90°, intensity 9

=====

Simulated X-ray diffraction stick pattern of In2GaF5 for λ = 1.5418 Å (Cu Kα), from a crystal structure in Alexandria, relaxed with GGA-PBE.
Kinematic intensities with the Lorentz-polarization factor, no thermal factor.

Atomic structure:
```
In2GaF5
1.0
7.2590 -2.9296 0.0000
7.2590 2.9296 0.0000
-4.0081 0.0000 6.5412
In Ga F
4 2 10
direct
0.0013 0.9987 0.5000
0.6744 0.6775 0.5118
0.6775 0.6744 0.0118
0.9987 0.0013 0.0000
0.3377 0.3377 0.0051
0.3377 0.3377 0.5051
0.0797 0.3097 0.8905
0.0995 0.6840 0.1259
0.2316 0.4436 0.7550
0.3097 0.0797 0.3905
0.3655 0.5957 0.6197
0.4436 0.2316 0.2550
0.5756 0.9913 0.8840
0.5957 0.3655 0.1197
0.6840 0.0995 0.6259
0.9913 0.5756 0.3840
```

Top 12 peaks for 10° ≤ 2θ ≤ 90°, by intensity:
26.42°, intensity 100
28.78°, intensity 82
27.27°, intensity 48
41.37°, intensity 33
30.51°, intensity 33
50.57°, intensity 24
46.18°, intensity 21
37.47°, intensity 20
51.79°, intensity 20
53.17°, intensity 18
54.39°, intensity 16
43.88°, intensity 16

=====

Simulated X-ray diffraction stick pattern of In3Ga2F9 for λ = 1.5418 Å (Cu Kα), from a crystal structure in Alexandria, relaxed with GGA-PBE.
Kinematic intensities with the Lorentz-polarization factor, no thermal factor.

Atomic structure:
```
In3Ga2F9
1.0
5.2979 3.0588 4.9488
-5.2979 3.0588 4.9488
0.0000 -6.1175 4.9488
In Ga F
6 4 18
direct
0.1152 0.7500 0.3848
0.2500 0.6152 0.8848
0.3848 0.1152 0.7500
0.6152 0.8848 0.2500
0.7500 0.3848 0.1152
0.8848 0.2500 0.6152
0.1542 0.1542 0.1542
0.3458 0.3458 0.3458
0.6542 0.6542 0.6542
0.8458 0.8458 0.8458
0.0642 0.8964 0.7542
0.1036 0.2458 0.9358
0.1131 0.3869 0.2500
0.2458 0.9358 0.1036
0.2500 0.1131 0.3869
0.2542 0.3964 0.5642
0.3869 0.2500 0.1131
0.3964 0.5642 0.2542
0.4358 0.7458 0.6036
0.5642 0.2542 0.3964
0.6036 0.4358 0.7458
0.6131 0.7500 0.8869
0.7458 0.6036 0.4358
0.7500 0.8869 0.6131
0.7542 0.0642 0.8964
0.8869 0.6131 0.7500
0.8964 0.7542 0.0642
0.9358 0.1036 0.2458
```

Top 12 peaks for 10° ≤ 2θ ≤ 90°, by intensity:
24.62°, intensity 100
29.20°, intensity 84
38.55°, intensity 78
40.23°, intensity 27
50.47°, intensity 27
22.79°, intensity 24
59.37°, intensity 21
25.89°, intensity 19
36.31°, intensity 14
60.54°, intensity 14
43.10°, intensity 12
66.81°, intensity 12

=====

Simulated X-ray diffraction stick pattern of RbInGaF6 for λ = 1.5418 Å (Cu Kα), from a crystal structure in Alexandria, relaxed with GGA-PBE.
Kinematic intensities with the Lorentz-polarization factor, no thermal factor.

Atomic structure:
```
RbInGaF6
1.0
5.8717 0.0000 0.0000
-2.9358 5.0850 0.0000
0.0000 0.0000 4.9640
Rb In Ga F
1 1 1 6
direct
0.0000 0.0000 0.0000
0.6667 0.3333 0.4982
0.3333 0.6667 0.9976
0.0375 0.4321 0.2323
0.0379 0.6071 0.7631
0.3929 0.4309 0.7631
0.3946 0.9625 0.2323
0.5679 0.6054 0.2323
0.5691 0.9621 0.7631
```

Top 12 peaks for 10° ≤ 2θ ≤ 90°, by intensity:
25.07°, intensity 100
48.00°, intensity 44
30.45°, intensity 42
39.84°, intensity 30
50.95°, intensity 29
54.11°, intensity 14
69.26°, intensity 12
66.84°, intensity 10
75.87°, intensity 9
58.67°, intensity 9
75.20°, intensity 8
63.36°, intensity 7